No. 1
Structure and computed powder X-ray diffraction pattern of Li2Co2Cl7 (a GGA-PBE-relaxed structure; Cu Kα, 1.54184 Å).
Intensities are scaled so that the largest is 100.

abc: 9.3298 10.4723 12.6930
angles: 90.00 110.81 90.00
Space group C2/c (No. 15)
Asymmetric unit:
Li  0.0576  0.1727  0.4757 [8 per cell]
Co  0.1954  0.4998  0.2063 [8 per cell]
Cl  0.0000  0.4195  0.7500 [4 per cell]
Cl  0.1022  0.0204  0.6357 [8 per cell]
Cl  0.1525  0.3265  0.1056 [8 per cell]
Cl  0.2422  0.3408  0.6061 [8 per cell]

Peak list (8 most intense, 2θ from 10° to 90°, sorted by position)
index  2θ (°)  I/Imax
0 0 2  14.93  33.3
0 2 0  16.93  41.4
2 0 -2  20.55  61.9
0 2 2  22.61  100.0
2 2 -2  26.75  25.8
1 3 -2  29.59  31.7
2 2 -4  34.48  26.0
1 3 4  44.02  25.9

No. 2
Structure and computed powder X-ray diffraction pattern of Tb4PmEr4 (a GGA-PBE-relaxed structure; Cu Kα, 1.54184 Å).
Intensities are scaled so that the largest is 100.

abc: 6.2790 17.1260 10.7779
angles: 90.00 99.49 90.00
Space group C2/m (No. 12)
Asymmetric unit:
Tb  0.0000  0.1432  0.0000 [4 per cell]
Tb  0.0000  0.3148  0.5000 [4 per cell]
Tb  0.0009  0.1421  0.6661 [8 per cell]
Pm  0.2237  0.5000  0.7800 [4 per cell]
Er  0.0049  0.3144  0.1658 [8 per cell]
Er  0.2247  0.5000  0.1127 [4 per cell]
Er  0.2263  0.5000  0.4455 [4 per cell]

Peak list (8 most intense, 2θ from 10° to 90°, sorted by position)
index  2θ (°)  I/Imax
1 5 0  29.81  28.2
2 2 0  30.70  53.5
1 3 -3  31.16  100.0
0 6 0  31.34  41.2
1 1 3  31.52  54.1
0 4 3  32.81  24.1
2 4 0  35.79  36.8
2 8 -3  56.12  21.8

No. 3
Structure and computed powder X-ray diffraction pattern of ErThMn (a GGA-PBE-relaxed structure; Cu Kα, 1.54184 Å).
Intensities are scaled so that the largest is 100.

abc: 11.5902 3.8958 8.2560
angles: 90.00 127.75 90.00
Space group Cm (No. 8)
Asymmetric unit:
Er  0.0000  0.0000  0.0000 [2 per cell]
Er  0.2459  0.0000  0.5536 [2 per cell]
Th  0.1353  0.5000  0.8144 [2 per cell]
Th  0.4076  0.0000  0.2729 [2 per cell]
Mn  0.2168  0.5000  0.2695 [2 per cell]
Mn  0.4505  0.5000  0.5642 [2 per cell]

Peak list (8 most intense, 2θ from 10° to 90°, sorted by position)
index  2θ (°)  I/Imax
1 1 -1  25.32  31.8
2 0 1  29.91  58.9
4 0 -2  31.06  45.6
1 1 -2  32.37  100.0
3 1 -1  32.92  97.3
2 0 -3  33.04  40.9
6 0 -1  52.53  38.5
0 0 4  56.39  32.3

No. 4
Structure and computed powder X-ray diffraction pattern of Ac2PaIr3O12 (a GGA-PBE-relaxed structure; Cu Kα, 1.54184 Å).
Intensities are scaled so that the largest is 100.

abc: 7.1793 7.1793 16.2277
angles: 90.00 90.00 120.00
Space group R-3m (No. 166, hexagonal axes)
Asymmetric unit:
Ac  0.0000  0.0000  0.1158 [6 per cell]
Pa  0.0000  0.0000  0.5000 [3 per cell]
Ir  0.0000  0.5000  0.0000 [9 per cell]
O  0.0227  0.5114  0.8770 [18 per cell]
O  0.0444  0.5222  0.3158 [18 per cell]

Peak list (8 most intense, 2θ from 10° to 90°, sorted by position)
index  2θ (°)  I/Imax
0 2 1  29.25  57.9
1 1 3  29.87  100.0
2 0 2  30.80  62.2
0 1 5  31.08  55.7
0 3 3  46.95  30.3
1 2 5  47.78  35.3
2 2 0  50.87  49.3
2 0 8  53.98  31.0